# 1
Structure and computed XRD peak list of AlGaAs2 (a structure optimized by DFT (PBE); Cu Kα (weighted mean of Kα1 and Kα2)).

Crystal structure
a = 4.0586 Å, b = 4.0586 Å, c = 19.8734 Å
α = 90.00°, β = 90.00°, γ = 120.00°
Space group R3m (No. 160, hexagonal axes)
One atom of each set of equivalent atoms:
Al (0.0000, 0.0000, 0.0000)
Ga (0.0000, 0.0000, 0.5002)
As (0.0000, 0.0000, 0.1249)
As (0.0000, 0.0000, 0.6254)

Principal peaks in the range 15° ≤ 2θ ≤ 90°, by angle:
- 2θ 25.7, intensity 5, hkl 1 0 1
- 2θ 26.9, intensity 100, hkl 0 1 2
- 2θ 31.2, intensity 4, hkl 1 0 4
- 2θ 34.1, intensity 3, hkl 0 1 5
- 2θ 44.7, intensity 71, hkl 1 1 0
- 2θ 52.9, intensity 45, hkl 2 0 2
- 2θ 65.0, intensity 11, hkl 2 0 8
- 2θ 71.7, intensity 18, hkl 1 2 2
- 2θ 82.3, intensity 23, hkl 3 0 0
- 2θ 88.5, intensity 14, hkl 3 0 6



# 2
Structure and computed XRD peak list of K3Al2As3 (a structure optimized by DFT (PBE); Cu Kα (weighted mean of Kα1 and Kα2)).

Crystal structure
a = 7.6641 Å, b = 6.0766 Å, c = 10.5852 Å
α = 90.00°, β = 110.15°, γ = 90.00°
Space group P2_1/m (No. 11)
One atom of each set of equivalent atoms:
K (0.0236, 0.2500, 0.1496)
K (0.0671, 0.7500, 0.4270)
K (0.3735, 0.2500, 0.9224)
Al (0.4720, 0.0005, 0.3428)
As (0.2466, 0.7500, 0.1818)
As (0.3117, 0.2500, 0.4706)
As (0.3461, 0.7500, 0.7481)

Principal peaks in the range 15° ≤ 2θ ≤ 90°, by angle:
- 2θ 23.2, intensity 12, hkl 2 0 -1
- 2θ 29.1, intensity 100, hkl 2 1 -2
- 2θ 29.4, intensity 25, hkl 0 2 0
- 2θ 33.9, intensity 10, hkl 1 0 -4
- 2θ 37.8, intensity 8, hkl 2 2 -1
- 2θ 40.3, intensity 12, hkl 0 2 3
- 2θ 44.4, intensity 9, hkl 3 1 1
- 2θ 45.5, intensity 16, hkl 1 2 -4
- 2θ 48.4, intensity 10, hkl 3 2 0
- 2θ 52.0, intensity 18, hkl 2 3 -2



Repeat the second record exactly.
Structure and computed XRD peak list of K3Al2As3 (a structure optimized by DFT (PBE); Cu Kα (weighted mean of Kα1 and Kα2)).

Crystal structure
a = 7.6641 Å, b = 6.0766 Å, c = 10.5852 Å
α = 90.00°, β = 110.15°, γ = 90.00°
Space group P2_1/m (No. 11)
One atom of each set of equivalent atoms:
K (0.0236, 0.2500, 0.1496)
K (0.0671, 0.7500, 0.4270)
K (0.3735, 0.2500, 0.9224)
Al (0.4720, 0.0005, 0.3428)
As (0.2466, 0.7500, 0.1818)
As (0.3117, 0.2500, 0.4706)
As (0.3461, 0.7500, 0.7481)

Principal peaks in the range 15° ≤ 2θ ≤ 90°, by angle:
- 2θ 23.2, intensity 12, hkl 2 0 -1
- 2θ 29.1, intensity 100, hkl 2 1 -2
- 2θ 29.4, intensity 25, hkl 0 2 0
- 2θ 33.9, intensity 10, hkl 1 0 -4
- 2θ 37.8, intensity 8, hkl 2 2 -1
- 2θ 40.3, intensity 12, hkl 0 2 3
- 2θ 44.4, intensity 9, hkl 3 1 1
- 2θ 45.5, intensity 16, hkl 1 2 -4
- 2θ 48.4, intensity 10, hkl 3 2 0
- 2θ 52.0, intensity 18, hkl 2 3 -2



Question: Number 2 is which compound?
Answer: K3Al2As3